No. 1
Calculated powder XRD pattern of Ce4TmAs5 for copper Kα, from a cell relaxed with PBE.
Lines closer than 0.1° are merged.

Most intense lines, 10 to 90 degrees two-theta, by intensity:
2theta, d_spacing, I (rel.)
30.2, 2.961, 100
43.2, 2.094, 75
71.2, 1.324, 34
53.6, 1.709, 26
79.3, 1.209, 25
26.1, 3.419, 18
62.8, 1.480, 12
51.2, 1.785, 9
69.1, 1.359, 4
85.2, 1.139, 1

Cell and atoms:
abc: 7.2510 7.2510 7.2510
angles: 99.61 99.61 131.76
Positions (direct):
Ce (0.0985, 0.2998, 0.3984)
Ce (0.2998, 0.9015, 0.2013)
Ce (0.7002, 0.0985, 0.7987)
Ce (0.9015, 0.7002, 0.6016)
Tm (0.5000, 0.5000, 0.0000)
As (0.0000, 0.0000, 0.0000)
As (0.2044, 0.5991, 0.8035)
As (0.4009, 0.2044, 0.6053)
As (0.5991, 0.7956, 0.3947)
As (0.7956, 0.4009, 0.1965)

=====

No. 2
Calculated powder XRD pattern of Cs2Ga4Au5 for copper Kα, from a cell relaxed with PBE.
Lines closer than 0.1° are merged.

Most intense lines, 10 to 90 degrees two-theta, by intensity:
2theta, d_spacing, I (rel.)
27.3, 3.268, 100
26.9, 3.313, 74
12.7, 6.950, 67
39.7, 2.270, 50
29.9, 2.989, 48
36.4, 2.470, 37
37.5, 2.399, 34
14.8, 5.978, 34
50.7, 1.802, 33
44.4, 2.039, 30

Cell and atoms:
abc: 6.9261 6.9261 8.2300
angles: 116.70 116.70 65.92
Positions (direct):
Cs (0.0676, 0.0676, 0.3459)
Cs (0.9324, 0.9324, 0.6541)
Ga (0.2821, 0.2821, 0.1606)
Ga (0.4508, 0.4508, 0.7812)
Ga (0.5492, 0.5492, 0.2188)
Ga (0.7179, 0.7179, 0.8394)
Au (0.1342, 0.5220, 0.9127)
Au (0.4780, 0.8658, 0.0873)
Au (0.5000, 0.5000, 0.5000)
Au (0.5220, 0.1342, 0.9127)
Au (0.8658, 0.4780, 0.0873)

=====

No. 3
Calculated powder XRD pattern of Pm4Pr2Tl for copper Kα, from a cell relaxed with PBE.
Lines closer than 0.1° are merged.

Most intense lines, 10 to 90 degrees two-theta, by intensity:
2theta, d_spacing, I (rel.)
30.4, 2.942, 100
30.8, 2.899, 59
31.2, 2.862, 51
32.5, 2.757, 25
32.3, 2.771, 24
30.5, 2.934, 21
26.0, 3.427, 20
63.3, 1.470, 17
40.7, 2.215, 16
63.0, 1.475, 15

Cell and atoms:
abc: 5.8800 6.8542 11.8920
angles: 90.00 103.45 90.00
Positions (direct):
Pm (0.0872, 0.2500, 0.1256)
Pm (0.2849, 0.7500, 0.4340)
Pm (0.3475, 0.5076, 0.7166)
Pm (0.3475, 0.9924, 0.7166)
Pm (0.6525, 0.0076, 0.2834)
Pm (0.6525, 0.4924, 0.2834)
Pm (0.7151, 0.2500, 0.5660)
Pm (0.9128, 0.7500, 0.8744)
Pr (0.1579, 0.2500, 0.4275)
Pr (0.4839, 0.7500, 0.0242)
Pr (0.5161, 0.2500, 0.9758)
Pr (0.8421, 0.7500, 0.5725)
Tl (0.0536, 0.7500, 0.1628)
Tl (0.9464, 0.2500, 0.8372)

=====

No. 4
Calculated powder XRD pattern of Ti5Si2Ge for copper Kα, from a cell relaxed with PBE.
Lines closer than 0.1° are merged.

Most intense lines, 10 to 90 degrees two-theta, by intensity:
2theta, d_spacing, I (rel.)
38.5, 2.338, 100
43.4, 2.085, 69
41.7, 2.167, 44
36.7, 2.448, 34
63.0, 1.475, 22
38.6, 2.332, 21
82.8, 1.166, 15
68.6, 1.367, 14
81.3, 1.184, 11
31.3, 2.857, 10

Cell and atoms:
abc: 7.4039 7.4039 7.4039
angles: 127.11 127.11 78.07
Positions (direct):
Ti (0.0000, 0.0000, 0.0000)
Ti (0.0125, 0.5125, 0.8257)
Ti (0.1868, 0.0125, 0.5000)
Ti (0.3132, 0.8132, 0.8257)
Ti (0.4875, 0.3132, 0.5000)
Ti (0.5000, 0.5000, 0.0000)
Ti (0.5125, 0.6868, 0.5000)
Ti (0.6868, 0.1868, 0.1743)
Ti (0.8132, 0.9875, 0.5000)
Ti (0.9875, 0.4875, 0.1743)
Si (0.1317, 0.3683, 0.5000)
Si (0.3683, 0.8683, 0.2367)
Si (0.6317, 0.1317, 0.7633)
Si (0.8683, 0.6317, 0.5000)
Ge (0.2500, 0.2500, 0.0000)
Ge (0.7500, 0.7500, 0.0000)

=====

No. 5
Calculated powder XRD pattern of CoReRu for copper Kα, from a cell relaxed with PBE.
Lines closer than 0.1° are merged.

Most intense lines, 10 to 90 degrees two-theta, by intensity:
2theta, d_spacing, I (rel.)
41.4, 2.179, 100
41.8, 2.159, 97
48.3, 1.885, 64
71.1, 1.326, 39
26.4, 3.377, 32
48.8, 1.865, 31
85.1, 1.140, 25
85.9, 1.131, 24
22.4, 3.970, 20
35.3, 2.544, 15

Cell and atoms:
abc: 4.5871 4.5871 4.5871
angles: 145.96 132.01 60.14
Positions (direct):
Co (0.0000, 0.0000, 0.0000)
Re (0.6638, 0.6638, 0.0000)
Ru (0.3359, 0.3359, 0.0000)

=====

No. 6
Calculated powder XRD pattern of Pr3Co11B4 for copper Kα, from a cell relaxed with PBE.
Lines closer than 0.1° are merged.

Most intense lines, 10 to 90 degrees two-theta, by intensity:
2theta, d_spacing, I (rel.)
40.5, 2.230, 100
34.2, 2.625, 98
44.9, 2.018, 96
62.0, 1.496, 34
34.8, 2.575, 29
69.5, 1.352, 25
73.6, 1.287, 24
19.9, 4.460, 17
83.7, 1.156, 15
71.9, 1.313, 15

Cell and atoms:
abc: 5.1496 5.1496 9.7437
angles: 90.00 90.00 120.00
Positions (direct):
Pr (0.0000, 0.0000, 0.0000)
Pr (0.0000, 0.0000, 0.3411)
Pr (0.0000, 0.0000, 0.6589)
Co (0.0000, 0.5000, 0.2040)
Co (0.0000, 0.5000, 0.5000)
Co (0.0000, 0.5000, 0.7960)
Co (0.3333, 0.6667, 0.0000)
Co (0.5000, 0.0000, 0.2040)
Co (0.5000, 0.0000, 0.5000)
Co (0.5000, 0.0000, 0.7960)
Co (0.5000, 0.5000, 0.2040)
Co (0.5000, 0.5000, 0.5000)
Co (0.5000, 0.5000, 0.7960)
Co (0.6667, 0.3333, 0.0000)
B (0.3333, 0.6667, 0.3498)
B (0.3333, 0.6667, 0.6502)
B (0.6667, 0.3333, 0.3498)
B (0.6667, 0.3333, 0.6502)

=====

No. 7
Calculated powder XRD pattern of Pr2Ho3Te6 for copper Kα, from a cell relaxed with PBE.
Lines closer than 0.1° are merged.

Most intense lines, 10 to 90 degrees two-theta, by intensity:
2theta, d_spacing, I (rel.)
28.8, 3.105, 100
41.0, 2.203, 57
28.6, 3.117, 51
41.1, 2.197, 38
67.3, 1.392, 25
51.0, 1.791, 20
41.3, 2.188, 19
74.8, 1.270, 15
59.5, 1.552, 12
75.1, 1.266, 12

Cell and atoms:
abc: 7.5899 7.5899 7.6475
angles: 99.65 99.65 119.73
Positions (direct):
Pr (0.1638, 0.8362, 0.0000)
Pr (0.8362, 0.1638, 0.0000)
Ho (0.0000, 0.0000, 0.5000)
Ho (0.3288, 0.6712, 0.5000)
Ho (0.6712, 0.3288, 0.5000)
Te (0.0951, 0.4158, 0.7444)
Te (0.2659, 0.2659, 0.2592)
Te (0.4158, 0.0951, 0.7444)
Te (0.5842, 0.9049, 0.2556)
Te (0.7341, 0.7341, 0.7408)
Te (0.9049, 0.5842, 0.2556)

=====

No. 8
Calculated powder XRD pattern of Ce3NdBi12 for copper Kα, from a cell relaxed with PBE.
Lines closer than 0.1° are merged.

Most intense lines, 10 to 90 degrees two-theta, by intensity:
2theta, d_spacing, I (rel.)
31.2, 2.868, 100
35.7, 2.515, 35
61.3, 1.511, 30
52.4, 1.746, 24
37.1, 2.426, 16
63.2, 1.472, 14
51.4, 1.778, 13
65.0, 1.434, 13
85.7, 1.134, 13
84.0, 1.152, 7

Cell and atoms:
abc: 5.0298 5.0298 19.4061
angles: 90.00 90.00 90.00
Positions (direct):
Ce (0.0000, 0.0000, 0.0000)
Ce (0.0000, 0.0000, 0.2476)
Ce (0.0000, 0.0000, 0.7524)
Nd (0.0000, 0.0000, 0.5000)
Bi (0.0000, 0.5000, 0.1242)
Bi (0.0000, 0.5000, 0.3737)
Bi (0.0000, 0.5000, 0.6263)
Bi (0.0000, 0.5000, 0.8758)
Bi (0.5000, 0.0000, 0.1242)
Bi (0.5000, 0.0000, 0.3737)
Bi (0.5000, 0.0000, 0.6263)
Bi (0.5000, 0.0000, 0.8758)
Bi (0.5000, 0.5000, 0.0000)
Bi (0.5000, 0.5000, 0.2496)
Bi (0.5000, 0.5000, 0.5000)
Bi (0.5000, 0.5000, 0.7504)

=====

No. 9
Calculated powder XRD pattern of Hg4PCl2F for copper Kα, from a cell relaxed with PBE.
Lines closer than 0.1° are merged.

Most intense lines, 10 to 90 degrees two-theta, by intensity:
2theta, d_spacing, I (rel.)
28.8, 3.097, 100
26.9, 3.309, 79
26.2, 3.405, 57
45.4, 1.996, 52
34.3, 2.611, 37
42.3, 2.138, 23
13.0, 6.811, 22
50.4, 1.811, 21
37.7, 2.388, 21
55.6, 1.654, 19

Cell and atoms:
abc: 8.1022 8.1022 8.5528
angles: 121.77 121.77 80.26
Positions (direct):
Hg (0.1658, 0.2067, 0.4358)
Hg (0.2067, 0.1658, 0.9358)
Hg (0.2487, 0.7505, 0.5047)
Hg (0.2495, 0.7513, 0.9953)
Hg (0.7505, 0.2487, 0.0047)
Hg (0.7513, 0.2495, 0.4953)
Hg (0.7933, 0.8342, 0.0642)
Hg (0.8342, 0.7933, 0.5642)
P (0.0000, 0.0000, 0.0000)
P (0.0000, 0.0000, 0.5000)
Cl (0.0000, 0.5000, 0.0000)
Cl (0.5000, 0.0000, 0.5000)
Cl (0.5000, 0.5000, 0.0000)
Cl (0.5000, 0.5000, 0.5000)
F (0.0000, 0.5000, 0.5000)
F (0.5000, 0.0000, 0.0000)

=====

No. 10
Calculated powder XRD pattern of Sm2UMn2C4 for copper Kα, from a cell relaxed with PBE.
Lines closer than 0.1° are merged.

Most intense lines, 10 to 90 degrees two-theta, by intensity:
2theta, d_spacing, I (rel.)
34.7, 2.586, 100
40.8, 2.213, 91
27.2, 3.279, 89
28.3, 3.151, 76
31.3, 2.859, 74
40.0, 2.253, 63
37.5, 2.400, 38
24.5, 3.640, 34
44.2, 2.050, 25
53.9, 1.702, 24

Cell and atoms:
abc: 6.6834 6.6834 6.0342
angles: 107.98 107.98 29.50
Positions (direct):
Sm (0.1366, 0.1366, 0.0470)
Sm (0.8634, 0.8634, 0.9530)
U (0.0000, 0.0000, 0.5000)
Mn (0.3156, 0.3156, 0.4999)
Mn (0.6844, 0.6844, 0.5001)
C (0.2189, 0.2189, 0.6921)
C (0.4623, 0.4623, 0.7282)
C (0.5377, 0.5377, 0.2718)
C (0.7811, 0.7811, 0.3079)